The following is a theoretical powder XRD pattern of FeSb. It was derived from a PBE-relaxed structure, using λ = 1.5418 Å (Cu Kα).
Intensities are scaled so that the largest is 1000.

Main lines, low angle first (10 to 80 degrees two-theta):
hkl  d (Å)  2θ (°)  I_rel
1 0 1  2.858  31.29  1000
0 0 2  2.510  35.78  40
1 0 2  2.035  44.52  481
1 1 0  2.007  45.17  525
2 0 1  1.643  55.98  187
1 1 2  1.568  58.91  60
1 0 3  1.508  61.50  140
2 0 2  1.429  65.29  144
2 1 1  1.271  74.66  158
2 0 3  1.206  79.50  67

Cell and atoms:
Cell: 4.0148 4.0148 5.0198 Å, 90.00 90.00 120.00°
Space group P6_3/mmc (No. 194)
Unique sites:
Fe  0.0000  0.0000  0.0000 (multiplicity 2)
Sb  0.3333  0.6667  0.2500 (multiplicity 2)

---

The following is a theoretical powder XRD pattern of Ce3Sb4Pt3. It was derived from a PBE-relaxed structure, using λ = 1.5418 Å (Cu Kα).
Intensities are scaled so that the largest is 1000.

Main lines, low angle first (10 to 80 degrees two-theta):
hkl  d (Å)  2θ (°)  I_rel
2 1 1  4.032  22.05  299
3 2 1  2.639  33.97  1000
4 2 0  2.208  40.87  487
3 3 2  2.106  42.96  117
4 2 2  2.016  44.97  145
5 1 0  1.937  46.91  160
5 2 1  1.803  50.63  126
6 2 0  1.561  59.17  124
4 4 4  1.425  65.48  111
5 5 2  1.344  70.01  149

Cell and atoms:
Cell: 9.876 9.876 9.876 Å, 90.00 90.00 90.00°
Space group I-43d (No. 220)
Unique sites:
Ce  0.000  0.250  0.875 (multiplicity 12)
Sb  0.082  0.418  0.582 (multiplicity 16)
Pt  0.000  0.250  0.375 (multiplicity 12)

---

The following is a theoretical powder XRD pattern of TbEu2SbO6. It was derived from a PBE-relaxed structure, using λ = 1.5418 Å (Cu Kα).
Intensities are scaled so that the largest is 1000.

Main lines, low angle first (10 to 80 degrees two-theta):
hkl  d (Å)  2θ (°)  I_rel
2 2 0  2.974  30.05  1000
3 1 1  2.536  35.40  7
2 2 2  2.428  37.03  20
4 0 0  2.103  43.02  284
4 2 2  1.717  53.36  405
4 4 0  1.487  62.46  177
6 2 0  1.330  70.86  179
4 4 4  1.214  78.85  59

Cell and atoms:
Cell: 8.411 8.411 8.411 Å, 90.00 90.00 90.00°
Space group Fm-3m (No. 225)
Unique sites:
Tb  0.000  0.000  0.000 (multiplicity 4)
Eu  0.250  0.250  0.250 (multiplicity 8)
Sb  0.000  0.000  0.500 (multiplicity 4)
O  0.000  0.000  0.263 (multiplicity 24)

---

The following is a theoretical powder XRD pattern of NaZn3H3S2O9. It was derived from a PBE-relaxed structure, using λ = 1.5418 Å (Cu Kα).
Intensities are scaled so that the largest is 1000.

Main lines, low angle first (10 to 80 degrees two-theta):
hkl  d (Å)  2θ (°)  I_rel
0 0 2  6.901  12.83  810
0 1 2  4.126  21.54  238
1 1 1  2.905  30.78  1000
0 1 4  2.866  31.21  269
1 1 2  2.729  32.81  313
1 1 3  2.496  35.98  356
0 0 6  2.300  39.16  185
1 1 5  2.022  44.81  255
3 0 0  1.716  53.40  268
3 0 4  1.536  60.24  235

Cell and atoms:
Cell: 5.9432 5.9432 13.8015 Å, 90.00 90.00 120.00°
Space group P3c1 (No. 158)
Unique sites:
Na  0.0000  0.0000  0.0000 (multiplicity 2)
Zn  0.3451  0.0017  0.2640 (multiplicity 6)
H  0.0000  0.0000  0.1814 (multiplicity 2)
H  0.3333  0.6667  0.3804 (multiplicity 2)
H  0.6667  0.3333  0.1425 (multiplicity 2)
S  0.3333  0.6667  0.0737 (multiplicity 2)
S  0.6667  0.3333  0.4496 (multiplicity 2)
O  0.0000  0.0000  0.2522 (multiplicity 2)
O  0.1491  0.3955  0.1183 (multiplicity 6)
O  0.3333  0.6667  0.3090 (multiplicity 2)
O  0.3957  0.1503  0.4048 (multiplicity 6)
O  0.6667  0.3333  0.2139 (multiplicity 2)

---

The following is a theoretical powder XRD pattern of Mg2Ti3O8. It was derived from a PBE-relaxed structure, using λ = 1.5418 Å (Cu Kα).
Intensities are scaled so that the largest is 1000.

Main lines, low angle first (10 to 80 degrees two-theta):
hkl  d (Å)  2θ (°)  I_rel
0 0 2  4.754  18.66  1000
1 0 1  4.533  19.58  300
1 0 2  3.496  25.48  437
1 0 3  2.700  33.18  314
1 1 2  2.523  35.58  475
2 0 1  2.489  36.09  560
2 0 2  2.267  39.77  477
2 0 3  2.000  45.34  476
2 0 5  1.530  60.49  500
2 2 0  1.489  62.37  471

Cell and atoms:
Cell: 5.9551 5.9551 9.5083 Å, 90.00 90.00 120.00°
Space group P6_3mc (No. 186)
Unique sites:
Mg  0.3333  0.6667  0.0000 (multiplicity 2)
Mg  0.3333  0.6667  0.3952 (multiplicity 2)
Ti  0.1631  0.3261  0.7213 (multiplicity 6)
O  0.0000  0.0000  0.3281 (multiplicity 2)
O  0.0377  0.5189  0.8434 (multiplicity 6)
O  0.1638  0.3276  0.1235 (multiplicity 6)
O  0.3333  0.6667  0.6085 (multiplicity 2)

---

The following is a theoretical powder XRD pattern of MgSb3P3O13. It was derived from a PBE-relaxed structure, using λ = 1.5418 Å (Cu Kα).
Intensities are scaled so that the largest is 1000.

Main lines, low angle first (10 to 80 degrees two-theta):
hkl  d (Å)  2θ (°)  I_rel
0 1 1  5.871  15.09  383
1 0 -2  5.009  17.71  1000
2 0 1  3.531  25.22  539
0 2 0  3.492  25.50  357
0 2 1  3.325  26.81  283
1 2 0  3.205  27.83  261
1 0 3  3.057  29.21  464
1 2 1  3.004  29.74  323
2 2 0  2.636  34.01  304
1 2 -3  2.503  35.88  409

Cell and atoms:
Cell: 8.222 6.988 11.075 Å, 90.00 102.25 90.00°
Space group P2_1/m (No. 11)
Unique sites:
Mg  0.072  0.250  0.161 (multiplicity 2)
Sb  0.151  0.250  0.763 (multiplicity 2)
Sb  0.266  0.750  0.433 (multiplicity 2)
Sb  0.500  0.000  0.000 (multiplicity 2)
P  0.182  0.750  0.100 (multiplicity 2)
P  0.228  0.750  0.762 (multiplicity 2)
P  0.303  0.250  0.480 (multiplicity 2)
O  0.003  0.750  0.020 (multiplicity 2)
O  0.112  0.579  0.782 (multiplicity 4)
O  0.164  0.750  0.238 (multiplicity 2)
O  0.189  0.250  0.576 (multiplicity 2)
O  0.270  0.073  0.394 (multiplicity 4)
O  0.273  0.560  0.081 (multiplicity 4)
O  0.284  0.750  0.641 (multiplicity 2)
O  0.373  0.250  0.884 (multiplicity 2)
O  0.390  0.750  0.868 (multiplicity 2)
O  0.486  0.250  0.562 (multiplicity 2)

---

The following is a theoretical powder XRD pattern of RuRh4. It was derived from a PBE-relaxed structure, using λ = 1.5418 Å (Cu Kα).
Intensities are scaled so that the largest is 1000.

Main lines, low angle first (10 to 80 degrees two-theta):
hkl  d (Å)  2θ (°)  I_rel
0 1 5  2.221  40.61  1000
0 0 15  2.210  40.84  327
1 0 10  1.921  47.31  639
1 1 0  1.361  68.99  202
0 1 20  1.356  69.31  197

Cell and atoms:
Cell: 2.7225 2.7225 33.1426 Å, 90.00 90.00 120.00°
Space group R-3m (No. 166, hexagonal axes)
Unique sites:
Ru  0.0000  0.0000  0.0000 (multiplicity 3)
Rh  0.0000  0.0000  0.1998 (multiplicity 6)
Rh  0.0000  0.0000  0.3989 (multiplicity 6)

---

The following is a theoretical powder XRD pattern of RbSrCl3. It was derived from a PBE-relaxed structure, using λ = 1.5418 Å (Cu Kα).
Intensities are scaled so that the largest is 1000.

Main lines, low angle first (10 to 80 degrees two-theta):
hkl  d (Å)  2θ (°)  I_rel
1 2 1  3.955  22.48  1000
2 0 0  3.925  22.66  240
0 4 0  2.802  31.94  558
2 0 2  2.776  32.24  219
1 2 -3  2.290  39.35  304
1 2 3  2.281  39.50  338
3 2 1  2.267  39.76  136
2 4 -2  1.981  45.80  217
1 2 5  1.493  62.17  134
3 2 -5  1.322  71.37  131

Cell and atoms:
Cell: 7.850 11.223 7.919 Å, 90.00 90.46 90.00°
Space group P2_1/m (No. 11)
Unique sites:
Rb  0.025  0.250  0.007 (multiplicity 2)
Rb  0.474  0.750  0.510 (multiplicity 2)
Sr  0.000  0.000  0.500 (multiplicity 2)
Sr  0.500  0.000  0.000 (multiplicity 2)
Cl  0.046  0.750  0.571 (multiplicity 2)
Cl  0.190  0.525  0.192 (multiplicity 4)
Cl  0.303  0.050  0.698 (multiplicity 4)
Cl  0.498  0.750  0.922 (multiplicity 2)

---

The following is a theoretical powder XRD pattern of UMo. It was derived from a PBE-relaxed structure, using λ = 1.5418 Å (Cu Kα).
Intensities are scaled so that the largest is 1000.

Main lines, low angle first (10 to 80 degrees two-theta):
hkl  d (Å)  2θ (°)  I_rel
1 0 0  5.314  16.68  444
1 0 -2  3.624  24.56  331
0 1 1  2.737  32.72  674
0 1 2  2.459  36.54  375
1 1 -1  2.439  36.85  975
0 0 4  2.428  37.02  1000
2 0 -2  2.353  38.26  810
2 0 2  2.310  38.99  760
1 1 3  1.975  45.94  519
2 1 -1  1.912  47.55  288

Cell and atoms:
Cell: 5.315 2.852 9.716 Å, 90.00 91.25 90.00°
Space group P2_1/c (No. 14)
Unique sites:
U  0.113  0.029  0.121 (multiplicity 4)
Mo  0.422  0.746  0.873 (multiplicity 4)

---

The following is a theoretical powder XRD pattern of CeAsNO4F2. It was derived from a PBE-relaxed structure, using λ = 1.5418 Å (Cu Kα).
Intensities are scaled so that the largest is 1000.

Main lines, low angle first (10 to 80 degrees two-theta):
hkl  d (Å)  2θ (°)  I_rel
1 0 0  6.478  13.67  433
1 0 -1  5.973  14.83  593
0 1 1  4.490  19.77  1000
2 0 -1  3.491  25.52  449
1 1 1  3.317  26.88  898
1 1 -2  3.109  28.72  689
0 2 0  2.991  29.88  260
2 1 0  2.848  31.41  244
2 2 -1  2.271  39.69  283
1 2 2  1.972  46.03  216

Cell and atoms:
Cell: 7.016 5.981 7.361 Å, 90.00 112.59 90.00°
Space group P2_1/m (No. 11)
Unique sites:
Ce  0.113  0.250  0.181 (multiplicity 2)
As  0.275  0.750  0.544 (multiplicity 2)
N  0.449  0.250  0.822 (multiplicity 2)
O  0.065  0.750  0.607 (multiplicity 2)
O  0.261  0.519  0.401 (multiplicity 4)
O  0.498  0.250  0.252 (multiplicity 2)
F  0.154  0.004  0.956 (multiplicity 4)